Entry 1:
For Li3MnVP3O12, DFT lattice parameters and positions (PBE+U) gives the calculated powder XRD pattern in this record (Cu Kα (weighted mean of Kα1 and Kα2)).
No peak broadening, texture or thermal motion is included.

Most intense lines, 15 to 90 degrees two-theta, most intense first:
| Position (°2θ) | intensity |
| --- | --- |
| 19.28 | 100 |
| 23.78 | 84 |
| 23.65 | 74 |
| 28.64 | 72 |
| 31.08 | 60 |
| 31.32 | 57 |
| 23.49 | 51 |
| 19.53 | 48 |
| 23.91 | 46 |
| 30.76 | 40 |

Atomic structure:
```
Li3MnVP3O12
1.0
8.5490 0.0000 0.0000
-4.2451 7.4389 0.0000
-4.1690 -2.3991 7.7739
Li Mn V P O
6 2 2 6 24
direct
0.0764 0.2390 0.1510 Li
0.1878 0.4302 0.8580 Li
0.3907 0.8235 0.1295 Li
0.6093 0.1765 0.8705 Li
0.8122 0.5698 0.1420 Li
0.9236 0.7610 0.8490 Li
0.2954 0.6509 0.4396 Mn
0.7046 0.3491 0.5604 Mn
0.3063 0.1542 0.9602 V
0.6937 0.8458 0.0398 V
0.2009 0.9567 0.2476 P
0.2126 0.7606 0.7506 P
0.4947 0.4544 0.7507 P
0.5053 0.5456 0.2493 P
0.7874 0.2394 0.2494 P
0.7991 0.0433 0.7524 P
0.0017 0.6385 0.7439 O
0.0106 0.9829 0.1802 O
0.1195 0.7509 0.2505 O
0.1989 0.7250 0.5830 O
0.2576 0.9725 0.1001 O
0.3135 0.9779 0.8228 O
0.3144 0.3449 0.1044 O
0.3494 0.3367 0.8231 O
0.3677 0.4808 0.5858 O
0.3686 0.7128 0.8940 O
0.3894 0.1068 0.4132 O
0.3933 0.6380 0.2583 O
0.6067 0.3620 0.7417 O
0.6106 0.8932 0.5868 O
0.6314 0.2872 0.1060 O
0.6323 0.5192 0.4142 O
0.6506 0.6633 0.1769 O
0.6856 0.6551 0.8956 O
0.6865 0.0221 0.1772 O
0.7424 0.0275 0.8999 O
0.8011 0.2750 0.4170 O
0.8805 0.2491 0.7495 O
0.9894 0.0171 0.8198 O
0.9983 0.3615 0.2561 O
```

---

Entry 2:
For Li3MnVP3O12, DFT lattice parameters and positions (PBE+U) gives the calculated powder XRD pattern in this record (Cu Kα (weighted mean of Kα1 and Kα2)).
No peak broadening, texture or thermal motion is included.

Most intense lines, 15 to 90 degrees two-theta, most intense first:
| Position (°2θ) | intensity |
| --- | --- |
| 16.63 | 100 |
| 29.37 | 62 |
| 32.63 | 51 |
| 15.77 | 39 |
| 31.95 | 35 |
| 25.26 | 26 |
| 26.01 | 23 |
| 31.78 | 19 |
| 27.87 | 17 |
| 35.56 | 15 |

Atomic structure:
```
Li3MnVP3O12
1.0
5.8292 -6.4024 0.0000
5.8292 6.4024 0.0000
-2.5566 0.0000 5.7874
Li Mn V P O
6 2 2 6 24
direct
0.9999 0.0001 0.0000 Li
0.0001 0.9999 0.5000 Li
0.2125 0.7892 0.7488 Li
0.4966 0.5046 0.2485 Li
0.5046 0.4966 0.7485 Li
0.7892 0.2125 0.2488 Li
0.5561 0.8752 0.6303 Mn
0.8752 0.5561 0.1303 Mn
0.1236 0.4416 0.8600 V
0.4416 0.1236 0.3600 V
0.1653 0.3608 0.3629 P
0.2130 0.7857 0.2489 P
0.3608 0.1653 0.8629 P
0.6337 0.8393 0.1342 P
0.7857 0.2130 0.7489 P
0.8393 0.6337 0.6342 P
0.0377 0.7579 0.2707 O
0.0452 0.2020 0.2950 O
0.1139 0.4461 0.1728 O
0.1616 0.4866 0.5895 O
0.2020 0.0452 0.7950 O
0.2341 0.9614 0.2316 O
0.2420 0.6740 0.0323 O
0.3279 0.7635 0.4733 O
0.3414 0.3487 0.9006 O
0.3487 0.3414 0.4006 O
0.4461 0.1139 0.6728 O
0.4866 0.1616 0.0895 O
0.5117 0.8415 0.9028 O
0.5465 0.9047 0.3255 O
0.6444 0.6566 0.1092 O
0.6566 0.6444 0.6092 O
0.6740 0.2420 0.5323 O
0.7579 0.0377 0.7707 O
0.7635 0.3279 0.9733 O
0.7961 0.9537 0.2049 O
0.8415 0.5117 0.4028 O
0.9046 0.5465 0.8255 O
0.9537 0.7961 0.7049 O
0.9614 0.2341 0.7316 O
```

---

Entry 3:
For Li6MnV3P6O24, DFT lattice parameters and positions (PBE+U) gives the calculated powder XRD pattern in this record (Cu Kα (weighted mean of Kα1 and Kα2)).
No peak broadening, texture or thermal motion is included.

Most intense lines, 15 to 90 degrees two-theta, most intense first:
| Position (°2θ) | intensity |
| --- | --- |
| 24.00 | 100 |
| 31.62 | 70 |
| 19.72 | 63 |
| 28.89 | 44 |
| 51.91 | 20 |
| 36.62 | 18 |
| 38.56 | 18 |
| 32.41 | 17 |
| 49.14 | 16 |
| 60.97 | 14 |

Atomic structure:
```
Li6MnV3P6O24
1.0
4.2506 2.4541 7.5837
-4.2506 2.4541 7.5837
0.0000 -4.9082 7.5837
Li Mn V P O
6 1 3 6 24
direct
0.0181 0.3668 0.6151 Li
0.2049 0.9461 0.5529 Li
0.3668 0.6151 0.0181 Li
0.5529 0.2049 0.9461 Li
0.6151 0.0181 0.3668 Li
0.9461 0.5529 0.2049 Li
0.6337 0.6337 0.6337 Mn
0.1371 0.1371 0.1371 V
0.4312 0.4312 0.4312 V
0.9348 0.9348 0.9348 V
0.0371 0.7474 0.3201 P
0.2422 0.5304 0.8298 P
0.3201 0.0371 0.7474 P
0.5304 0.8298 0.2422 P
0.7474 0.3201 0.0371 P
0.8298 0.2422 0.5304 P
0.0306 0.1375 0.4063 O
0.0766 0.7464 0.1262 O
0.1048 0.8962 0.2753 O
0.1163 0.7455 0.7949 O
0.1262 0.0766 0.7464 O
0.1375 0.4063 0.0306 O
0.1644 0.5445 0.4151 O
0.2753 0.1047 0.8962 O
0.2834 0.4803 0.6718 O
0.4063 0.0306 0.1375 O
0.4151 0.1644 0.5445 O
0.4299 0.4863 0.8412 O
0.4435 0.8261 0.7891 O
0.4803 0.6718 0.2834 O
0.4863 0.8412 0.4299 O
0.5445 0.4151 0.1644 O
0.6718 0.2834 0.4803 O
0.7455 0.7949 0.1163 O
0.7464 0.1262 0.0766 O
0.7891 0.4435 0.8261 O
0.7949 0.1163 0.7455 O
0.8261 0.7891 0.4435 O
0.8412 0.4299 0.4863 O
0.8962 0.2753 0.1048 O
```

---

Entry 4:
For LiPrMn4O12, DFT lattice parameters and positions (PBE+U) gives the calculated powder XRD pattern in this record (Cu Kα (weighted mean of Kα1 and Kα2)).
No peak broadening, texture or thermal motion is included.

Most intense lines, 15 to 90 degrees two-theta, most intense first:
| Position (°2θ) | intensity |
| --- | --- |
| 33.14 | 100 |
| 20.21 | 83 |
| 16.62 | 62 |
| 48.27 | 56 |
| 33.61 | 49 |
| 26.28 | 48 |
| 59.80 | 37 |
| 23.59 | 31 |
| 69.56 | 30 |
| 39.53 | 29 |

Atomic structure:
```
LiPrMn4O12
1.0
5.3330 0.0000 0.0000
0.0000 5.3330 0.0000
0.0000 0.0000 7.7522
Li Pr Mn O
1 1 4 12
direct
0.0000 0.0000 0.0000 Li
0.5000 0.5000 0.5000 Pr
0.0000 0.5000 0.2378 Mn
0.0000 0.5000 0.7622 Mn
0.5000 0.0000 0.2378 Mn
0.5000 0.0000 0.7622 Mn
0.0000 0.5000 0.0000 O
0.0000 0.5000 0.5000 O
0.2582 0.2582 0.2656 O
0.2582 0.2582 0.7344 O
0.2582 0.7418 0.2656 O
0.2582 0.7418 0.7344 O
0.5000 0.0000 0.0000 O
0.5000 0.0000 0.5000 O
0.7418 0.2582 0.2656 O
0.7418 0.2582 0.7344 O
0.7418 0.7418 0.2656 O
0.7418 0.7418 0.7344 O
```